Computed powder X-ray diffraction pattern
Compound: Cs4In2S5
Radiation: Cu Kα, 1.54184 Å
Structure: a crystal structure in Alexandria, relaxed with GGA-PBE
Peak positions follow from Bragg's law for the DFT cell and can differ from measured ones.

Main lines, in order of rising 2θ (10 to 80 degrees two-theta):
Position (°2θ)  d_spacing  I (rel.)  index
21.85  4.067  43.8  1 2 2
22.15  4.014  78.6  1 -2 0
23.94  3.717  100.0  1 0 -2
24.35  3.655  37.0  2 1 2
24.45  3.641  51.9  2 0 2
25.47  3.497  47.8  2 -1 0
27.64  3.228  46.1  0 2 3
28.21  3.164  52.6  0 3 0
30.23  2.957  40.6  2 2 0
31.65  2.827  33.0  1 1 4

Structural model:
```
data_Cs4In2S5
_symmetry_space_group_name_H-M 'P -1'
_symmetry_Int_Tables_number 2
_symmetry_space_group_name_Hall '-P 1'
_cell_length_a 7.993
_cell_length_b 9.942
_cell_length_c 11.311
_cell_angle_alpha 72.79
_cell_angle_beta 70.42
_cell_angle_gamma 84.08
loop_
_atom_site_label
_atom_site_fract_x
_atom_site_fract_y
_atom_site_fract_z
Cs1 0.003 0.291 0.415
Cs2 0.050 0.688 0.041
Cs3 0.268 0.975 0.160
Cs4 0.387 0.319 0.597
In1 0.381 0.912 0.665
In2 0.467 0.493 0.159
S1 0.227 0.018 0.840
S2 0.249 0.605 0.310
S3 0.298 0.014 0.456
S4 0.322 0.650 0.727
S5 0.334 0.355 0.056
```

=====

Computed powder X-ray diffraction pattern
Compound: CsPrIn2Cl6
Radiation: Cu Kα, 1.54184 Å
Structure: a crystal structure in Alexandria, relaxed with GGA-PBE
Peak positions follow from Bragg's law for the DFT cell and can differ from measured ones.

Main lines, in order of rising 2θ (10 to 80 degrees two-theta):
Position (°2θ)  d_spacing  I (rel.)  index
15.30  5.791  47.5  0 1 2
21.31  4.170  99.0  1 0 4
22.09  4.024  100.0  1 1 0
25.60  3.480  27.1  2 -1 3
30.88  2.896  52.9  0 2 4
34.12  2.627  84.4  2 -1 6
38.29  2.350  56.8  3 -1 4
38.76  2.323  54.6  3 0 0
45.48  1.994  20.0  1 0 10
52.58  1.741  20.9  2 2 6

Structural model:
```
data_CsPrIn2Cl6
_symmetry_space_group_name_H-M 'R 3'
_symmetry_Int_Tables_number 146
_symmetry_space_group_name_Hall 'R 3'
_cell_length_a 8.0487
_cell_length_b 8.0487
_cell_length_c 20.8131
_cell_angle_alpha 90.00
_cell_angle_beta 90.00
_cell_angle_gamma 120.00
loop_
_atom_site_label
_atom_site_fract_x
_atom_site_fract_y
_atom_site_fract_z
Cs1 0.0000 0.0000 0.0000
Pr1 0.0000 0.0000 0.4844
In1 0.0000 0.0000 0.2836
In2 0.0000 0.0000 0.7921
Cl1 0.0234 0.3860 0.2176
Cl2 0.0317 0.7542 0.3950
```

=====

Computed powder X-ray diffraction pattern
Compound: K2BaAlF8
Radiation: Cu Kα, 1.54184 Å
Structure: a crystal structure in Alexandria, relaxed with GGA-PBE
Peak positions follow from Bragg's law for the DFT cell and can differ from measured ones.

Main lines, in order of rising 2θ (10 to 80 degrees two-theta):
Position (°2θ)  d_spacing  I (rel.)  index
17.88  4.960  77.2  1 0 0
21.93  4.054  48.6  0 1 1
31.21  2.866  100.0  1 1 0
33.80  2.652  18.6  1 1 1
38.39  2.345  19.1  0 0 3
38.49  2.339  45.5  2 0 1
40.63  2.221  46.7  1 1 2
44.71  2.027  35.7  0 2 2
50.34  1.813  30.0  1 1 3
55.56  1.654  27.9  3 0 0

Structural model:
```
data_K2BaAlF8
_symmetry_space_group_name_H-M 'P -3 m 1'
_symmetry_Int_Tables_number 164
_symmetry_space_group_name_Hall '-P 3 2"'
_cell_length_a 5.7271
_cell_length_b 5.7271
_cell_length_c 7.0351
_cell_angle_alpha 90.00
_cell_angle_beta 90.00
_cell_angle_gamma 120.00
loop_
_atom_site_label
_atom_site_fract_x
_atom_site_fract_y
_atom_site_fract_z
K1 0.3333 0.6667 0.3796
Ba1 0.0000 0.0000 0.0000
Al1 0.0000 0.0000 0.5000
F1 0.1468 0.2936 0.6564
F2 0.3333 0.6667 0.0177
```